Record 1
The following is a calculated XRD peak list of PrHo2ErTm. It was derived from a DFT-relaxed cell (PBE, Alexandria), using Cu Kα X-rays.

Cell and atoms:
a = 7.084 Å, b = 7.084 Å, c = 7.193 Å
α = 90.00°, β = 90.00°, γ = 107.68°
Fractional positions:
Pr 0.230 0.770 0.750
Pr 0.770 0.230 0.250
Ho 0.191 0.191 0.000
Ho 0.191 0.191 0.500
Ho 0.809 0.809 0.000
Ho 0.809 0.809 0.500
Er 0.497 0.503 0.250
Er 0.503 0.497 0.750
Tm 0.219 0.781 0.250
Tm 0.781 0.219 0.750

Main lines, low angle first (10° ≤ 2θ ≤ 80°):
| d (Å) | 2θ/deg | intensity |
| --- | --- | --- |
| 3.374 | 26.4 | 46 |
| 3.044 | 29.3 | 54 |
| 2.860 | 31.3 | 60 |
| 2.726 | 32.9 | 100 |
| 2.497 | 36.0 | 56 |
| 1.973 | 46.0 | 65 |

---

Record 2
The following is a calculated XRD peak list of Pr3HoErTm. It was derived from a DFT-relaxed cell (PBE, Alexandria), using Cu Kα X-rays.

Cell and atoms:
a = 8.083 Å, b = 8.083 Å, c = 10.223 Å
α = 90.00°, β = 90.00°, γ = 143.24°
Fractional positions:
Pr 0.165 0.835 0.000
Pr 0.165 0.835 0.500
Pr 0.334 0.666 0.750
Pr 0.666 0.334 0.250
Pr 0.835 0.165 0.000
Pr 0.835 0.165 0.500
Ho 0.500 0.500 0.000
Ho 0.500 0.500 0.500
Er 0.002 0.998 0.750
Er 0.998 0.002 0.250
Tm 0.336 0.664 0.250
Tm 0.664 0.336 0.750

Main lines, low angle first (10° ≤ 2θ ≤ 80°):
| d (Å) | 2θ/deg | intensity |
| --- | --- | --- |
| 2.949 | 30.3 | 100 |
| 2.556 | 35.1 | 34 |
| 2.549 | 35.2 | 17 |
| 1.806 | 50.5 | 36 |
| 1.541 | 60.0 | 29 |
| 1.538 | 60.2 | 14 |